(1)
This entry pairs a crystal structure of Na2CuF4 with its theoretical powder X-ray diffraction pattern. Radiation: Cu Ka. Structure: a crystal structure in the Materials Project, relaxed with GGA-PBE.

Structure:
```
Na2CuF4
1.0
3.3543 0.0000 0.0000
0.0000 9.3954 0.0000
-0.3283 0.0000 5.6933
Na Cu F
4 2 8
Cartesian
-0.0744 1.7115 2.3717
-0.2385 2.9862 5.2183
3.2646 6.4092 0.4750
3.1005 7.6839 3.3217
1.6772 0.0000 0.0000
1.5130 4.6977 2.8467
0.0301 0.4680 4.3405
0.1943 4.2297 1.4938
1.5147 6.4904 2.1401
1.3506 7.6027 4.9868
1.6755 1.7927 0.7065
1.5113 2.9050 3.5532
2.8318 5.1657 4.1995
2.9959 8.9274 1.3528
```

Largest 10 diffraction maxima, by angle, 2θ = 10–80°:
d/Å, Rel. int.
4.869, 100
4.698, 17
2.825, 77
2.744, 41
2.698, 30
2.172, 35
2.017, 25
1.924, 33
1.674, 17
1.587, 22


(2)
This entry pairs a crystal structure of NaCuSO4F with its theoretical powder X-ray diffraction pattern. Radiation: Cu Ka. Structure: a crystal structure in the Materials Project, relaxed with GGA-PBE.

Structure:
```
NaCuSO4F
1.0
3.5969 -4.2860 0.0000
3.5969 4.2860 0.0000
-2.3215 0.0000 6.5564
Na Cu S O F
2 2 2 8 2
Cartesian
1.8557 2.9978 4.9173
3.0165 -2.9978 1.6391
3.5969 0.0000 0.0000
2.4361 0.0000 3.2782
3.0165 2.6020 1.6391
1.8557 -2.6020 4.9173
-1.0198 0.8384 5.8841
2.0230 1.7193 2.3695
0.1410 -0.8384 2.6059
4.0100 1.7192 0.9086
0.8623 -1.7192 5.6477
4.7313 0.8384 3.9505
2.8492 -1.7193 4.1868
5.8920 -0.8384 0.6723
1.8557 0.7993 4.9173
3.0165 -0.7993 1.6391
```

Largest 10 diffraction maxima, by angle, 2θ = 10–80°:
d/Å, Rel. int.
5.318, 70
4.789, 21
3.391, 100
3.188, 77
2.633, 46
2.604, 47
2.170, 27
1.843, 24
1.773, 18
1.721, 19


(3)
This entry pairs a crystal structure of NbCuO3F with its theoretical powder X-ray diffraction pattern. Radiation: Cu Ka. Structure: a crystal structure in the Materials Project, relaxed with GGA-PBE.

Structure:
```
NbCuO3F
1.0
3.8403 0.0000 0.0000
0.3945 6.6451 0.0000
1.1350 2.5645 6.1920
Nb Cu O F
2 2 6 2
Cartesian
1.1859 2.2958 1.0065
4.1839 6.9138 5.1855
1.4857 5.5264 2.1844
3.8840 3.6832 4.0076
1.2472 3.6106 2.4373
1.5573 7.3819 1.9081
2.2683 6.6369 5.6804
3.1015 2.5727 0.5116
3.8124 1.8277 4.2839
4.1226 5.5990 3.7547
2.3750 3.8798 5.2835
2.9948 5.3298 0.9085
```

Largest 10 diffraction maxima, by angle, 2θ = 10–80°:
d/Å, Rel. int.
6.139, 40
3.482, 100
3.322, 65
3.070, 61
3.026, 39
2.788, 29
2.774, 31
2.080, 29
1.894, 33
1.796, 24


(4)
This entry pairs a crystal structure of Rb2NbCuF6 with its theoretical powder X-ray diffraction pattern. Radiation: Cu Ka. Structure: a crystal structure in the Materials Project, relaxed with GGA-PBE.

Structure:
```
Rb2NbCuF6
1.0
0.0000 4.3785 4.3785
4.3785 0.0000 4.3785
4.3785 4.3785 0.0000
Rb Nb Cu F
2 1 1 6
Cartesian
2.1892 2.1892 2.1892
6.5677 6.5677 6.5677
0.0000 0.0000 0.0000
4.3785 4.3785 4.3785
4.3785 4.3785 2.1207
4.3785 2.1207 4.3785
6.6363 4.3785 4.3785
2.1207 4.3785 4.3785
4.3785 6.6363 4.3785
4.3785 4.3785 6.6363
```

Largest 10 diffraction maxima, by angle, 2θ = 10–80°:
d/Å, Rel. int.
5.056, 3
4.378, 2
3.096, 100
2.528, 7
2.189, 43
1.788, 40
1.548, 26
1.385, 18
1.320, 2
1.264, 8


(5)
This entry pairs a crystal structure of Cu6OF11 with its theoretical powder X-ray diffraction pattern. Radiation: Cu Ka. Structure: a crystal structure in the Materials Project, relaxed with GGA-PBE.

Structure:
```
Cu6OF11
1.0
5.6663 0.0000 0.0000
2.3566 5.5549 0.0000
2.1916 1.1123 6.6741
Cu O F
6 1 11
Cartesian
0.0000 0.0000 0.0000
1.1465 0.6712 3.2436
3.0138 2.2914 1.0257
4.1607 2.7303 4.3651
7.2142 4.7511 5.4695
6.1968 4.1714 2.0890
2.0207 3.8371 1.0457
1.1662 0.8312 1.3146
2.9992 2.0484 2.9457
4.5916 4.6431 3.1450
6.1437 6.3393 5.5605
5.3078 3.4626 5.7658
4.9832 3.5052 0.7338
4.0707 0.6693 0.9368
5.7467 2.2748 3.3303
7.2757 4.9017 3.5319
9.1038 6.0879 5.1719
8.2428 3.1244 5.4174
```

Largest 10 diffraction maxima, by angle, 2θ = 10–80°:
d/Å, Rel. int.
3.289, 100
3.222, 96
2.844, 58
2.671, 38
2.662, 35
2.533, 23
1.854, 22
1.826, 20
1.644, 20
1.640, 22


(6)
This entry pairs a crystal structure of Cu4OF6 with its theoretical powder X-ray diffraction pattern. Radiation: Cu Ka. Structure: a crystal structure in the Materials Project, relaxed with GGA-PBE.

Structure:
```
Cu4OF6
1.0
6.8661 0.0000 0.0000
0.0000 6.8661 0.0000
0.0000 0.0000 5.1422
Cu O F
8 2 12
Cartesian
0.0426 5.1496 0.3321
1.7165 3.4756 2.2390
1.7165 6.8235 2.2390
3.3905 5.1496 0.3321
3.4756 1.7165 4.8101
5.1496 0.0426 2.9032
5.1496 3.3905 2.9032
6.8235 1.7165 4.8101
1.7165 5.1496 1.2855
5.1496 1.7165 3.8566
0.2685 3.7015 3.8566
0.2685 6.5977 3.8566
1.7165 1.7165 0.3866
1.7165 1.7165 2.9577
3.1646 3.7015 3.8566
3.1646 6.5977 3.8566
3.7015 0.2685 1.2855
3.7015 3.1646 1.2855
5.1496 5.1496 2.1845
5.1496 5.1496 4.7556
6.5977 0.2685 1.2855
6.5977 3.1646 1.2855
```

Largest 10 diffraction maxima, by angle, 2θ = 10–80°:
d/Å, Rel. int.
4.116, 12
2.855, 100
2.428, 12
2.091, 8
1.971, 18
1.786, 6
1.765, 20
1.717, 21
1.497, 9
1.471, 23


(7)
This entry pairs a crystal structure of Cu3OF5 with its theoretical powder X-ray diffraction pattern. Radiation: Cu Ka. Structure: a crystal structure in the Materials Project, relaxed with GGA-PBE.

Structure:
```
Cu3OF5
1.0
4.5916 0.0000 0.0000
0.0000 4.5960 0.0000
-3.8217 0.0000 9.5776
Cu O F
6 2 10
Cartesian
0.0000 0.9975 0.0000
-1.9109 3.5985 4.7888
0.4456 1.1444 3.2703
-1.4653 3.4516 8.0591
0.7220 1.1304 6.3016
2.6329 3.4656 1.5128
1.3814 0.3405 4.7804
-0.5295 4.2555 9.5691
-2.9142 0.1540 8.0873
-1.0034 4.4421 3.2985
-0.5391 2.2314 4.6519
-2.4500 2.3646 9.4407
1.2572 0.1845 1.7104
-0.6536 4.4115 6.4992
-0.1509 2.0380 7.7752
1.7600 2.5580 2.9864
3.9285 1.9757 1.5699
2.0177 2.6203 6.3587
```

Largest 10 diffraction maxima, by angle, 2θ = 10–80°:
d/Å, Rel. int.
3.243, 100
2.723, 26
2.622, 36
2.525, 12
1.783, 18
1.756, 14
1.700, 17
1.671, 14
1.622, 18
1.596, 10


(8)
This entry pairs a crystal structure of CuO2F with its theoretical powder X-ray diffraction pattern. Radiation: Cu Ka. Structure: a crystal structure in the Materials Project, relaxed with GGA-PBE.

Structure:
```
CuO2F
1.0
-1.5538 5.8219 2.4727
1.5538 -5.8219 2.4727
1.5538 5.8219 -2.4727
Cu O F
2 4 2
Cartesian
0.0000 1.7290 0.0000
0.0000 9.9149 0.0000
1.5538 5.1801 -0.8492
0.0000 0.6419 1.6234
0.0000 5.1531 1.6390
0.0000 6.4908 1.6390
1.5538 2.8657 0.8337
0.0000 2.9562 3.3063
```

Largest 10 diffraction maxima, by angle, 2θ = 10–80°:
d/Å, Rel. int.
4.552, 100
3.053, 93
3.002, 34
2.631, 29
2.426, 45
2.398, 43
1.952, 55
1.885, 25
1.732, 33
1.456, 26


(9)
This entry pairs a crystal structure of Cu6OF11 with its theoretical powder X-ray diffraction pattern. Radiation: Cu Ka. Structure: a crystal structure in the Materials Project, relaxed with GGA-PBE.

Structure:
```
Cu6OF11
1.0
4.6443 0.0000 0.0000
0.0575 5.4345 0.0000
0.2474 0.4138 8.4427
Cu O F
6 1 11
Cartesian
0.0000 0.0000 0.0000
0.2039 2.0876 5.6608
2.3365 2.7342 0.0377
2.4741 0.9660 2.8598
2.6431 4.7966 5.4939
4.7164 3.8187 2.8997
3.4123 4.9361 3.6321
1.0277 5.2970 2.1104
1.1905 1.9795 7.7300
1.1259 3.6354 4.9339
1.4474 2.5918 2.1406
1.5474 0.9525 4.8651
1.6860 4.6980 7.6472
3.2767 1.1653 0.8109
3.4846 3.2455 6.4098
3.8143 2.2486 3.5652
3.7617 3.8884 0.7330
3.9070 0.5461 6.4106
```

Largest 10 diffraction maxima, by angle, 2θ = 10–80°:
d/Å, Rel. int.
3.333, 100
3.254, 95
2.814, 50
2.687, 37
2.645, 31
2.548, 24
1.817, 36
1.716, 35
1.666, 21
1.628, 39


(10)
This entry pairs a crystal structure of CuO2F with its theoretical powder X-ray diffraction pattern. Radiation: Cu Ka. Structure: a crystal structure in the Materials Project, relaxed with GGA-PBE.

Structure:
```
CuO2F
1.0
3.1820 0.0000 0.0000
0.0000 5.8963 0.0000
0.0000 0.0000 4.6241
Cu O F
2 4 2
Cartesian
0.0000 1.2174 0.0000
1.5910 4.6789 2.3120
0.0000 2.3387 1.5964
0.0000 3.6481 1.4797
1.5910 2.2481 3.7917
1.5910 3.5576 3.9085
0.0000 5.7959 3.1248
1.5910 0.1004 0.8128
```

Largest 10 diffraction maxima, by angle, 2θ = 10–80°:
d/Å, Rel. int.
3.639, 100
2.800, 45
2.621, 19
2.486, 13
2.395, 29
1.959, 39
1.819, 16
1.783, 28
1.573, 15
1.387, 14


(11)
This entry pairs a crystal structure of CuO2F with its theoretical powder X-ray diffraction pattern. Radiation: Cu Ka. Structure: a crystal structure in the Materials Project, relaxed with GGA-PBE.

Structure:
```
CuO2F
1.0
3.2266 -4.0974 0.0000
3.2266 4.0974 0.0000
0.0000 0.0000 3.9581
Cu O F
2 4 2
Cartesian
1.3949 0.0000 0.0000
5.0583 0.0000 1.9791
2.5832 0.9310 1.1105
3.8700 0.9310 0.8685
2.5832 -0.9310 2.8476
3.8700 -0.9310 3.0896
3.2266 3.2084 2.9686
3.2266 -3.2084 0.9895
```

Largest 10 diffraction maxima, by angle, 2θ = 10–80°:
d/Å, Rel. int.
4.097, 73
3.120, 100
2.847, 26
2.535, 22
2.135, 13
2.123, 38
1.842, 21
1.730, 15
1.687, 14
1.560, 13


(12)
This entry pairs a crystal structure of Cu3OF5 with its theoretical powder X-ray diffraction pattern. Radiation: Cu Ka. Structure: a crystal structure in the Materials Project, relaxed with GGA-PBE.

Structure:
```
Cu3OF5
1.0
4.6051 0.0000 0.0000
-0.2706 5.9598 0.0000
-0.1164 -0.1739 7.5524
Cu O F
6 2 10
Cartesian
0.0000 0.0000 0.0000
-0.0664 1.9264 5.1163
1.8857 4.6893 5.0357
2.1673 2.9799 0.0000
2.3324 1.0965 2.5168
4.2846 3.8595 2.4361
1.2056 3.0168 5.8886
3.0125 2.7691 1.6638
0.6999 4.0149 0.8110
0.8506 -0.0614 5.8925
0.8420 2.0092 3.4210
1.0278 4.9977 3.2783
1.3061 1.0739 0.8314
2.9121 4.7120 6.7210
3.1903 0.7882 4.2742
3.3761 3.7767 4.1314
3.3676 5.8473 1.6600
3.5182 1.7709 6.7415
```

Largest 10 diffraction maxima, by angle, 2θ = 10–80°:
d/Å, Rel. int.
3.339, 100
3.190, 89
2.793, 54
2.653, 39
2.627, 31
2.517, 23
1.854, 20
1.712, 18
1.669, 21
1.612, 20